No. 1
Simulated powder XRD pattern of K5InPb8 for Cu Ka, from a GGA-PBE-relaxed structure.
Lines closer than 0.1° are merged.

The 10 most intense peaks (10° ≤ 2θ ≤ 90°), sorted by position:
h k l, two_theta, d/Å, I_rel
0 0 6, 13.65, 6.489, 61
1 0 1, 14.65, 6.047, 67
0 1 2, 15.17, 5.839, 51
1 0 4, 17.11, 5.182, 60
2 0 2, 29.55, 3.023, 82
1 1 9, 32.72, 2.737, 55
0 2 7, 33.42, 2.681, 61
0 0 15, 34.60, 2.593, 100
2 2 0, 51.73, 1.767, 47
2 2 15, 63.72, 1.460, 48

Atomic structure:
Lattice parameters (Å, degrees): 7.0680 7.0680 38.9347 90.00 90.00 120.00
Space group R-3m (No. 166, hexagonal axes)
Asymmetric unit:
1 K 0.0000 0.0000 0.0000 (multiplicity 3)
2 K 0.0000 0.0000 0.1819 (multiplicity 6)
3 K 0.0000 0.0000 0.2802 (multiplicity 6)
4 In 0.0000 0.0000 0.5000 (multiplicity 3)
5 Pb 0.0000 0.0000 0.3716 (multiplicity 6)
6 Pb 0.0169 0.5085 0.2326 (multiplicity 18)

---

No. 2
Simulated powder XRD pattern of KIn5S8 for Cu Ka, from a GGA-PBE-relaxed structure.
Lines closer than 0.1° are merged.

The 10 most intense peaks (10° ≤ 2θ ≤ 90°), sorted by position:
h k l, two_theta, d/Å, I_rel
4 0 -1, 19.22, 4.618, 48
2 0 2, 23.52, 3.783, 78
3 1 0, 26.84, 3.321, 79
3 1 -1, 27.47, 3.247, 69
1 1 -2, 29.73, 3.005, 100
1 1 2, 31.16, 2.871, 49
5 1 1, 36.04, 2.492, 81
3 1 -3, 37.68, 2.387, 42
0 2 0, 46.36, 1.958, 48
9 1 -1, 48.43, 1.880, 61

Atomic structure:
Lattice parameters (Å, degrees): 19.283 3.917 9.355 90.00 102.91 90.00
Space group C2/m (No. 12)
Asymmetric unit:
1 K 0.000 0.000 0.000 (multiplicity 2)
2 In 0.000 0.500 0.500 (multiplicity 2)
3 In 0.145 0.000 0.408 (multiplicity 4)
4 In 0.213 0.000 0.838 (multiplicity 4)
5 S 0.069 0.500 0.283 (multiplicity 4)
6 S 0.085 0.000 0.624 (multiplicity 4)
7 S 0.165 0.500 0.976 (multiplicity 4)
8 S 0.237 0.500 0.653 (multiplicity 4)

---

No. 3
Simulated powder XRD pattern of KIn5S8 for Cu Ka, from a GGA-PBE-relaxed structure.
Lines closer than 0.1° are merged.

The 10 most intense peaks (10° ≤ 2θ ≤ 90°), sorted by position:
h k l, two_theta, d/Å, I_rel
4 0 -1, 19.16, 4.632, 47
2 0 2, 23.51, 3.785, 79
3 1 0, 26.85, 3.321, 81
3 1 -1, 27.47, 3.247, 67
1 1 -2, 29.74, 3.004, 100
4 0 -3, 31.18, 2.868, 82
5 1 1, 36.03, 2.493, 78
3 1 -3, 37.65, 2.389, 40
0 2 0, 46.41, 1.956, 47
9 1 -1, 48.34, 1.883, 56

Atomic structure:
Lattice parameters (Å, degrees): 19.333 3.913 9.366 90.00 103.03 90.00
Space group Cm (No. 8)
Asymmetric unit:
1 K 0.000 0.000 0.000 (multiplicity 2)
2 In 0.124 0.000 0.424 (multiplicity 2)
3 In 0.193 0.000 0.854 (multiplicity 2)
4 In 0.267 0.500 0.178 (multiplicity 2)
5 In 0.334 0.500 0.608 (multiplicity 2)
6 In 0.479 0.000 0.516 (multiplicity 2)
7 S 0.048 0.500 0.300 (multiplicity 2)
8 S 0.065 0.000 0.641 (multiplicity 2)
9 S 0.144 0.500 0.992 (multiplicity 2)
10 S 0.217 0.500 0.669 (multiplicity 2)
11 S 0.241 0.000 0.363 (multiplicity 2)
12 S 0.313 0.000 0.040 (multiplicity 2)
13 S 0.394 0.500 0.393 (multiplicity 2)
14 S 0.410 0.000 0.733 (multiplicity 2)

---

No. 4
Simulated powder XRD pattern of K2In2Sb3 for Cu Ka, from a GGA-PBE-relaxed structure.
Lines closer than 0.1° are merged.

The 10 most intense peaks (10° ≤ 2θ ≤ 90°), sorted by position:
h k l, two_theta, d/Å, I_rel
0 0 2, 10.35, 8.547, 100
1 0 2, 11.81, 7.491, 31
3 1 -1, 21.25, 4.181, 19
0 2 2, 25.29, 3.521, 39
2 2 0, 25.75, 3.460, 21
4 1 2, 27.79, 3.210, 26
1 1 -5, 29.13, 3.066, 20
3 3 2, 40.52, 2.226, 24
7 0 -2, 41.93, 2.155, 20
4 3 0, 42.07, 2.148, 29

Atomic structure:
Lattice parameters (Å, degrees): 15.566 7.726 17.094 90.00 90.41 90.00
Space group P2_1/c (No. 14)
Asymmetric unit:
1 K 0.059 0.055 0.102 (multiplicity 4)
2 K 0.154 0.551 0.022 (multiplicity 4)
3 K 0.358 0.034 0.008 (multiplicity 4)
4 K 0.422 0.535 0.113 (multiplicity 4)
5 In 0.092 0.736 0.260 (multiplicity 4)
6 In 0.183 0.220 0.336 (multiplicity 4)
7 In 0.318 0.738 0.327 (multiplicity 4)
8 In 0.407 0.213 0.272 (multiplicity 4)
9 Sb 0.021 0.033 0.342 (multiplicity 4)
10 Sb 0.167 0.564 0.397 (multiplicity 4)
11 Sb 0.250 0.212 0.178 (multiplicity 4)
12 Sb 0.250 0.663 0.673 (multiplicity 4)
13 Sb 0.338 0.055 0.412 (multiplicity 4)
14 Sb 0.475 0.536 0.332 (multiplicity 4)

---

No. 5
Simulated powder XRD pattern of K2In12Se19 for Cu Ka, from a GGA-PBE-relaxed structure.
Lines closer than 0.1° are merged.

The 10 most intense peaks (10° ≤ 2θ ≤ 90°), sorted by position:
h k l, two_theta, d/Å, I_rel
1 1 0, 12.59, 7.029, 39
1 2 2, 21.66, 4.103, 21
2 2 0, 25.34, 3.515, 21
3 -1 4, 27.63, 3.228, 100
4 -1 2, 28.20, 3.164, 61
4 -3 4, 33.09, 2.707, 22
5 0 2, 38.28, 2.351, 21
6 -2 2, 40.45, 2.230, 22
1 2 8, 44.59, 2.032, 21
5 -4 6, 45.47, 1.995, 30

Atomic structure:
Lattice parameters (Å, degrees): 14.0580 14.0580 18.1203 90.00 90.00 120.00
Space group R-3 (No. 148, hexagonal axes)
Asymmetric unit:
1 K 0.0000 0.0000 0.1645 (multiplicity 6)
2 In 0.0182 0.4597 0.6829 (multiplicity 18)
3 In 0.0930 0.5726 0.0932 (multiplicity 18)
4 Se 0.0000 0.0000 0.5000 (multiplicity 3)
5 Se 0.0091 0.4307 0.2034 (multiplicity 18)
6 Se 0.0396 0.2002 0.3028 (multiplicity 18)
7 Se 0.0660 0.8156 0.9104 (multiplicity 18)